Entry 1:
CsKMgH4: simulated powder XRD pattern (Cu Kα, 1.54184 Å), based on the PBE geometry in Alexandria.
Intensities are scaled so that the largest is 100.

Largest 8 diffraction maxima, in order of rising 2θ, 5 to 70 degrees two-theta:
index, 2θ/deg, d/Å, I (rel.)
1 1 0, 16.23, 5.462, 32.4
0 2 1, 19.48, 4.556, 24.3
1 1 1, 22.20, 4.004, 31.0
1 3 1, 28.37, 3.146, 100.0
2 0 0, 30.32, 2.948, 49.6
1 5 0, 34.65, 2.589, 18.6
2 0 2, 43.41, 2.084, 18.7
3 3 1, 52.62, 1.739, 17.1

Structural model:
Cell lengths 5.9038, 14.3830, 5.8879 Å; angles 90.00, 90.00, 90.00 degrees
Space group Cmcm (No. 63)
Asymmetric unit:
Cs 0.0000 0.0971 0.2500 [4 per cell]
K 0.0000 0.3812 0.2500 [4 per cell]
Mg 0.0000 0.2512 0.7500 [4 per cell]
H 0.0000 0.1162 0.7500 [4 per cell]
H 0.0000 0.3903 0.7500 [4 per cell]
H 0.2500 0.2500 0.0000 [8 per cell]

=====

Entry 2:
HoAl2Cu2Si: simulated powder XRD pattern (Cu Kα, 1.54184 Å), based on the PBE geometry in Alexandria.
Intensities are scaled so that the largest is 100.

Largest 8 diffraction maxima, in order of rising 2θ, 5 to 70 degrees two-theta:
index, 2θ/deg, d/Å, I (rel.)
1 0 0, 19.97, 4.446, 41.2
1 0 1, 25.82, 3.450, 38.7
0 0 2, 32.73, 2.736, 25.1
1 1 1, 32.86, 2.726, 100.0
1 0 2, 38.64, 2.330, 49.4
2 0 0, 40.58, 2.223, 53.0
2 1 2, 57.28, 1.608, 31.1
3 1 1, 68.94, 1.362, 33.1

Structural model:
Cell lengths 4.4458, 4.4458, 5.4715 Å; angles 90.00, 90.00, 90.00 degrees
Space group P4/mmm (No. 123)
Asymmetric unit:
Ho 0.0000 0.0000 0.0000 [1 per cell]
Al 0.5000 0.5000 0.2343 [2 per cell]
Cu 0.0000 0.5000 0.5000 [2 per cell]
Si 0.0000 0.0000 0.5000 [1 per cell]